1.
Starting from a DFT-relaxed cell (PBE, Alexandria), the PXRD pattern of PaTeRh2 was simulated for copper Kα.
Lines closer than 0.1° are merged.

Structure:
a b c (Å): 4.0621 4.0621 17.5390
angles (deg): 90.00 90.00 120.00
Space group R-3m (No. 166, hexagonal axes)
One atom of each set of equivalent atoms:
Pa 0.0000 0.0000 0.0000 (multiplicity 3)
Te 0.0000 0.0000 0.5000 (multiplicity 3)
Rh 0.0000 0.0000 0.2479 (multiplicity 6)

The 8 most intense peaks (10° ≤ 2θ ≤ 80°), most intense first:
2θ/deg, Rel. int., index
32.6, 100, 1 0 4
44.6, 42, 1 1 0
49.0, 32, 0 1 8
56.4, 21, 0 2 4
74.6, 18, 2 1 4
68.4, 12, 2 0 8
27.3, 9, 0 1 2
25.8, 6, 1 0 1



2.
Starting from a DFT-relaxed cell (PBE, Alexandria), the PXRD pattern of Th2PaRh was simulated for copper Kα.
Lines closer than 0.1° are merged.

Structure:
a b c (Å): 3.6086 3.6086 7.8839
angles (deg): 90.00 90.00 90.00
Space group P4/mmm (No. 123)
One atom of each set of equivalent atoms:
Th 0.0000 0.0000 0.2189 (multiplicity 2)
Pa 0.5000 0.5000 0.5000 (multiplicity 1)
Rh 0.5000 0.5000 0.0000 (multiplicity 1)

The 8 most intense peaks (10° ≤ 2θ ≤ 80°), most intense first:
2θ/deg, Rel. int., index
33.7, 100, 1 0 2
35.2, 49, 1 1 0
62.2, 35, 2 1 2
50.6, 18, 2 0 0
59.2, 15, 1 1 4
27.2, 13, 1 0 1
70.8, 9, 2 0 4
49.8, 8, 1 1 3



3.
Starting from a DFT-relaxed cell (PBE, Alexandria), the PXRD pattern of PaTiRh was simulated for copper Kα.
Lines closer than 0.1° are merged.

Structure:
a b c (Å): 5.5928 5.6405 7.1187
angles (deg): 90.00 90.00 90.00
Space group Imma (No. 74)
One atom of each set of equivalent atoms:
Pa 0.0000 0.2500 0.1136 (multiplicity 4)
Ti 0.0000 0.0000 0.5000 (multiplicity 4)
Rh 0.2500 0.2500 0.7500 (multiplicity 4)

The 8 most intense peaks (10° ≤ 2θ ≤ 80°), most intense first:
2θ/deg, Rel. int., index
33.8, 100, 1 1 2
38.1, 94, 2 1 1
37.9, 70, 1 2 1
41.3, 68, 0 1 3
20.2, 51, 1 0 1
31.7, 48, 0 2 0
71.1, 32, 2 2 4
60.8, 24, 2 3 1